# 1
This entry pairs a crystal structure of NiPt2Au with its theoretical powder XRD pattern. Radiation: Cu Kα X-rays. Structure: DFT lattice parameters and positions (PBE).
Neutral-atom scattering factors, no anomalous dispersion.

Structural model:
abc: 2.783 4.746 9.415
angles: 90.00 90.00 90.00
Space group Cmmm (No. 65)
One atom of each set of equivalent atoms:
Ni (0.000, 0.000, 0.000)
Pt (0.000, 0.500, 0.228)
Au (0.000, 0.000, 0.500)

Most intense lines, 10 to 90 degrees two-theta, low angle first:
2theta	I (rel.)
28.4	14
37.9	35
38.2	29
42.3	100
54.9	20
62.7	11
71.5	21
71.9	14

# 2
This entry pairs a crystal structure of PuNi2Au9 with its theoretical powder XRD pattern. Radiation: Cu Kα X-rays. Structure: DFT lattice parameters and positions (PBE).
Neutral-atom scattering factors, no anomalous dispersion.

Structural model:
abc: 11.283 11.283 7.020
angles: 90.00 90.00 90.00
Space group I4_1/amd (No. 141, origin choice 2)
One atom of each set of equivalent atoms:
Pu (0.000, 0.250, 0.375)
Ni (0.000, 0.000, 0.000)
Au (0.000, 0.250, 0.875)
Au (0.121, 0.055, 0.680)

Most intense lines, 10 to 90 degrees two-theta, low angle first:
2theta	I (rel.)
35.6	62
35.9	100
39.3	22
42.1	72
42.6	17
44.2	16
64.1	29
72.7	16

# 3
This entry pairs a crystal structure of PuNi4Au8 with its theoretical powder XRD pattern. Radiation: Cu Kα X-rays. Structure: DFT lattice parameters and positions (PBE).
Neutral-atom scattering factors, no anomalous dispersion.

Structural model:
abc: 9.099 9.099 5.301
angles: 90.00 90.00 90.00
Space group I4/mmm (No. 139)
One atom of each set of equivalent atoms:
Pu (0.000, 0.000, 0.000)
Ni (0.250, 0.250, 0.250)
Au (0.000, 0.220, 0.500)
Au (0.000, 0.336, 0.000)

Most intense lines, 10 to 90 degrees two-theta, low angle first:
2theta	I (rel.)
27.7	19
33.8	31
34.1	35
39.3	18
39.6	100
44.3	31
44.5	21
71.8	23

# 4
This entry pairs a crystal structure of ReNiAu2 with its theoretical powder XRD pattern. Radiation: Cu Kα X-rays. Structure: DFT lattice parameters and positions (PBE).
Neutral-atom scattering factors, no anomalous dispersion.

Structural model:
abc: 2.780 2.780 7.987
angles: 90.00 90.00 90.00
Space group P4mm (No. 99)
One atom of each set of equivalent atoms:
Re (0.000, 0.000, 0.000)
Ni (0.500, 0.500, 0.800)
Au (0.000, 0.000, 0.557)
Au (0.500, 0.500, 0.267)

Most intense lines, 10 to 90 degrees two-theta, low angle first:
2theta	I (rel.)
33.7	11
34.2	16
39.5	100
45.4	13
46.2	35
66.8	16
67.4	11
81.0	25

# 5
This entry pairs a crystal structure of Ni4RuAu with its theoretical powder XRD pattern. Radiation: Cu Kα X-rays. Structure: DFT lattice parameters and positions (PBE).
Neutral-atom scattering factors, no anomalous dispersion.

Structural model:
abc: 6.720 6.720 6.720
angles: 90.00 90.00 90.00
Space group F-43m (No. 216)
One atom of each set of equivalent atoms:
Ni (0.125, 0.125, 0.125)
Ru (0.000, 0.000, 0.500)
Au (0.250, 0.250, 0.750)

Most intense lines, 10 to 90 degrees two-theta, low angle first:
2theta	I (rel.)
22.9	17
26.5	7
37.9	60
44.7	100
46.8	18
68.4	21
73.2	30
80.9	22

# 6
This entry pairs a crystal structure of TlNiAuS with its theoretical powder XRD pattern. Radiation: Cu Kα X-rays. Structure: DFT lattice parameters and positions (PBE).
Neutral-atom scattering factors, no anomalous dispersion.

Structural model:
abc: 3.883 3.883 11.427
angles: 90.00 90.00 90.00
Space group P4/nmm (No. 129, origin choice 2)
One atom of each set of equivalent atoms:
Tl (0.250, 0.250, 0.223)
Ni (0.250, 0.750, 0.500)
Au (0.250, 0.750, 0.000)
S (0.250, 0.250, 0.600)

Most intense lines, 10 to 90 degrees two-theta, low angle first:
2theta	I (rel.)
24.2	44
31.3	29
32.9	28
36.3	100
46.8	31
57.4	21
59.0	19
79.9	21

# 7
This entry pairs a crystal structure of Sc6Ni5Au with its theoretical powder XRD pattern. Radiation: Cu Kα X-rays. Structure: DFT lattice parameters and positions (PBE).
Neutral-atom scattering factors, no anomalous dispersion.

Structural model:
abc: 4.536 6.487 7.148
angles: 90.00 108.28 90.00
Space group P2/m (No. 10)
One atom of each set of equivalent atoms:
Sc (0.000, 0.239, 0.000)
Sc (0.329, 0.245, 0.658)
Ni (0.163, 0.000, 0.327)
Ni (0.169, 0.500, 0.339)
Ni (0.500, 0.000, 0.000)
Au (0.500, 0.500, 0.000)

Most intense lines, 10 to 90 degrees two-theta, low angle first:
2theta	I (rel.)
13.0	8
24.8	10
39.5	100
39.7	25
39.8	24
56.8	8
71.6	16
72.1	15

# 8
This entry pairs a crystal structure of Ni2AuSe3 with its theoretical powder XRD pattern. Radiation: Cu Kα X-rays. Structure: DFT lattice parameters and positions (PBE).
Neutral-atom scattering factors, no anomalous dispersion.

Structural model:
abc: 7.1026 7.1026 5.0407
angles: 90.00 90.00 120.00
Space group P-3m1 (No. 164)
One atom of each set of equivalent atoms:
Ni (0.0000, 0.0000, 0.0000)
Ni (0.0000, 0.5000, 0.0000)
Au (0.3333, 0.6667, 0.3450)
Se (0.1745, 0.3490, 0.7661)

Most intense lines, 10 to 90 degrees two-theta, low angle first:
2theta	I (rel.)
14.4	13
22.8	13
34.2	100
38.6	15
46.6	26
51.5	32
63.2	16
85.8	14

# 9
This entry pairs a crystal structure of Ni2AuSe4 with its theoretical powder XRD pattern. Radiation: Cu Kα X-rays. Structure: DFT lattice parameters and positions (PBE).
Neutral-atom scattering factors, no anomalous dispersion.

Structural model:
abc: 10.736 3.591 16.246
angles: 90.00 90.00 90.00
Space group Pnma (No. 62)
One atom of each set of equivalent atoms:
Ni (0.106, 0.250, 0.061)
Ni (0.182, 0.250, 0.687)
Au (0.078, 0.250, 0.440)
Se (0.040, 0.250, 0.922)
Se (0.043, 0.750, 0.690)
Se (0.177, 0.250, 0.205)
Se (0.245, 0.250, 0.546)

Most intense lines, 10 to 90 degrees two-theta, low angle first:
2theta	I (rel.)
10.9	69
23.4	69
28.4	48
29.9	100
33.4	50
34.4	44
37.2	48
43.6	74

# 10
This entry pairs a crystal structure of Si7Ni4Au2 with its theoretical powder XRD pattern. Radiation: Cu Kα X-rays. Structure: DFT lattice parameters and positions (PBE).
Neutral-atom scattering factors, no anomalous dispersion.

Structural model:
abc: 12.924 3.784 8.017
angles: 90.00 109.96 90.00
Space group C2/m (No. 12)
One atom of each set of equivalent atoms:
Si (0.000, 0.000, 0.000)
Si (0.005, 0.000, 0.335)
Si (0.153, 0.500, 0.757)
Si (0.166, 0.500, 0.423)
Ni (0.006, 0.500, 0.169)
Ni (0.155, 0.000, 0.587)
Au (0.194, 0.500, 0.093)

Most intense lines, 10 to 90 degrees two-theta, low angle first:
2theta	I (rel.)
11.7	72
26.2	100
31.8	43
31.9	37
35.5	35
46.1	71
48.1	34
48.7	32

# 11
This entry pairs a crystal structure of Sm3NiAu3 with its theoretical powder XRD pattern. Radiation: Cu Kα X-rays. Structure: DFT lattice parameters and positions (PBE).
Neutral-atom scattering factors, no anomalous dispersion.

Structural model:
abc: 3.827 4.596 18.906
angles: 90.00 90.00 90.00
Space group Imm2 (No. 44)
One atom of each set of equivalent atoms:
Sm (0.000, 0.000, 0.000)
Sm (0.000, 0.000, 0.364)
Sm (0.000, 0.500, 0.192)
Ni (0.000, 0.500, 0.758)
Au (0.000, 0.000, 0.531)
Au (0.000, 0.000, 0.830)
Au (0.000, 0.500, 0.626)

Most intense lines, 10 to 90 degrees two-theta, low angle first:
2theta	I (rel.)
28.3	24
31.9	100
33.3	29
36.0	48
38.7	44
39.2	41
42.0	39
47.5	29

# 12
This entry pairs a crystal structure of NiSn10Au4 with its theoretical powder XRD pattern. Radiation: Cu Kα X-rays. Structure: DFT lattice parameters and positions (PBE).
Neutral-atom scattering factors, no anomalous dispersion.

Structural model:
abc: 4.7866 4.7866 57.1075
angles: 90.00 90.00 120.00
Space group R-3m (No. 166, hexagonal axes)
One atom of each set of equivalent atoms:
Ni (0.0000, 0.0000, 0.0000)
Sn (0.0000, 0.0000, 0.0460)
Sn (0.0000, 0.0000, 0.1493)
Sn (0.0000, 0.0000, 0.2530)
Sn (0.0000, 0.0000, 0.3462)
Sn (0.0000, 0.0000, 0.4488)
Au (0.0000, 0.0000, 0.2012)
Au (0.0000, 0.0000, 0.3975)

Most intense lines, 10 to 90 degrees two-theta, low angle first:
2theta	I (rel.)
22.8	57
23.4	21
37.6	100
38.3	86
44.7	23
54.7	31
67.8	18
68.3	33

# 13
This entry pairs a crystal structure of Ni3Sn5Au with its theoretical powder XRD pattern. Radiation: Cu Kα X-rays. Structure: DFT lattice parameters and positions (PBE).
Neutral-atom scattering factors, no anomalous dispersion.

Structural model:
abc: 10.887 8.793 9.688
angles: 90.00 122.20 90.00
Space group C2/m (No. 12)
One atom of each set of equivalent atoms:
Ni (0.000, 0.000, 0.000)
Ni (0.000, 0.000, 0.500)
Ni (0.128, 0.500, 0.156)
Ni (0.170, 0.500, 0.661)
Sn (0.000, 0.281, 0.500)
Sn (0.128, 0.500, 0.890)
Sn (0.136, 0.213, 0.194)
Sn (0.242, 0.000, 0.532)
Au (0.107, 0.000, 0.813)

Most intense lines, 10 to 90 degrees two-theta, low angle first:
2theta	I (rel.)
20.2	32
28.5	66
32.8	47
33.8	100
34.4	31
40.4	23
41.0	66
50.8	28